Structure and computed powder diffraction line list of MgMnCu2SnS4 (a crystal structure in the Materials Project, relaxed with PBE; copper Kα).
Neutral-atom scattering factors, no anomalous dispersion.

Principal peaks in the range 10 to 90 degrees two-theta, by intensity:
- 27.25 deg, I 100
- 42.30 deg, I 31
- 45.83 deg, I 22
- 47.47 deg, I 21
- 49.50 deg, I 17
- 52.55 deg, I 15
- 58.56 deg, I 13
- 28.33 deg, I 12
- 30.50 deg, I 9
- 33.50 deg, I 8
- 30.74 deg, I 8
- 82.26 deg, I 7

Structural model:
Cell lengths 6.655, 6.655, 6.655 Å; angles 128.18, 123.50, 80.21 degrees
Atoms (fractional coordinates):
Mg 0.000 0.000 0.000
Mn 0.000 0.500 0.500
Cu 0.270 0.270 0.000
Cu 0.730 0.730 0.000
Sn 0.500 0.000 0.500
S 0.063 0.121 0.472
S 0.351 0.879 0.941
S 0.649 0.590 0.528
S 0.937 0.410 0.059

Structure and computed powder diffraction line list of Tb10Si3Sb3 (a crystal structure in the Materials Project, relaxed with PBE; copper Kα).
Neutral-atom scattering factors, no anomalous dispersion.

Principal peaks in the range 10 to 90 degrees two-theta, by intensity:
- 34.26 deg, I 100
- 34.72 deg, I 87
- 31.19 deg, I 42
- 35.49 deg, I 42
- 30.32 deg, I 31
- 53.54 deg, I 28
- 50.49 deg, I 24
- 56.39 deg, I 23
- 24.63 deg, I 16
- 23.45 deg, I 15
- 54.64 deg, I 15
- 55.50 deg, I 15

Structural model:
Cell lengths 8.762, 8.762, 6.399 Å; angles 90.00, 90.00, 120.00 degrees
Atoms (fractional coordinates):
Tb 0.000 0.243 0.000
Tb 0.000 0.757 0.500
Tb 0.243 0.000 0.000
Tb 0.243 0.243 0.500
Tb 0.333 0.667 0.240
Tb 0.333 0.667 0.760
Tb 0.667 0.333 0.240
Tb 0.667 0.333 0.760
Tb 0.757 0.000 0.500
Tb 0.757 0.757 0.000
Si 0.000 0.609 0.000
Si 0.391 0.391 0.000
Si 0.609 0.000 0.000
Sb 0.000 0.394 0.500
Sb 0.394 0.000 0.500
Sb 0.606 0.606 0.500

Structure and computed powder diffraction line list of IClOF (a crystal structure in the Materials Project, relaxed with PBE; copper Kα).
Neutral-atom scattering factors, no anomalous dispersion.

Principal peaks in the range 10 to 90 degrees two-theta, by intensity:
- 21.93 deg, I 100
- 16.41 deg, I 71
- 25.60 deg, I 46
- 28.97 deg, I 46
- 27.98 deg, I 42
- 13.94 deg, I 36
- 37.73 deg, I 27
- 18.11 deg, I 24
- 25.70 deg, I 24
- 18.27 deg, I 22
- 35.61 deg, I 21
- 34.39 deg, I 21

Structural model:
Cell lengths 13.082, 7.276, 8.088 Å; angles 90.00, 94.61, 90.00 degrees
Atoms (fractional coordinates):
I 0.088 0.103 0.179
I 0.088 0.397 0.679
I 0.277 0.049 0.856
I 0.277 0.451 0.356
I 0.723 0.549 0.644
I 0.723 0.951 0.144
I 0.912 0.603 0.321
I 0.912 0.897 0.821
Cl 0.343 0.737 0.460
Cl 0.343 0.763 0.960
Cl 0.424 0.120 0.715
Cl 0.424 0.380 0.215
Cl 0.576 0.620 0.785
Cl 0.576 0.880 0.285
Cl 0.657 0.237 0.040
Cl 0.657 0.263 0.540
O 0.110 0.025 0.968
O 0.110 0.475 0.468
O 0.219 0.156 0.264
O 0.219 0.344 0.764
O 0.781 0.656 0.236
O 0.781 0.844 0.736
O 0.890 0.525 0.532
O 0.890 0.975 0.032
F 0.076 0.143 0.585
F 0.076 0.357 0.085
F 0.109 0.653 0.752
F 0.109 0.847 0.252
F 0.891 0.153 0.748
F 0.891 0.347 0.248
F 0.924 0.643 0.915
F 0.924 0.857 0.415

Structure and computed powder diffraction line list of Rb2TlBiF6 (a crystal structure in the Materials Project, relaxed with PBE; copper Kα).
Neutral-atom scattering factors, no anomalous dispersion.

Principal peaks in the range 10 to 90 degrees two-theta, by intensity:
- 25.54 deg, I 100
- 45.03 deg, I 44
- 36.44 deg, I 33
- 17.99 deg, I 29
- 71.59 deg, I 24
- 52.48 deg, I 22
- 59.25 deg, I 21
- 40.92 deg, I 15
- 83.09 deg, I 12
- 88.71 deg, I 10
- 55.93 deg, I 7
- 65.57 deg, I 7

Structural model:
Cell lengths 6.975, 6.975, 6.975 Å; angles 60.00, 60.00, 60.00 degrees
Atoms (fractional coordinates):
Rb 0.250 0.250 0.250
Rb 0.750 0.750 0.750
Tl 0.000 0.000 0.000
Bi 0.500 0.500 0.500
F 0.270 0.270 0.730
F 0.270 0.730 0.270
F 0.270 0.730 0.730
F 0.730 0.270 0.270
F 0.730 0.270 0.730
F 0.730 0.730 0.270

Structure and computed powder diffraction line list of HgC2Br4N2 (a crystal structure in the Materials Project, relaxed with PBE; copper Kα).
Neutral-atom scattering factors, no anomalous dispersion.

Principal peaks in the range 10 to 90 degrees two-theta, by intensity:
- 10.17 deg, I 100
- 12.74 deg, I 50
- 18.88 deg, I 49
- 19.26 deg, I 33
- 21.19 deg, I 26
- 27.18 deg, I 22
- 25.43 deg, I 21
- 17.66 deg, I 20
- 40.76 deg, I 20
- 30.80 deg, I 19
- 22.67 deg, I 18
- 25.64 deg, I 14

Structural model:
Cell lengths 10.336, 17.419, 10.076 Å; angles 90.00, 95.94, 90.00 degrees
Atoms (fractional coordinates):
Hg 0.167 0.007 0.124
Hg 0.167 0.493 0.624
Hg 0.833 0.507 0.376
Hg 0.833 0.993 0.876
C 0.239 0.114 0.735
C 0.239 0.386 0.235
C 0.337 0.647 0.137
C 0.337 0.853 0.637
C 0.663 0.147 0.363
C 0.663 0.353 0.863
C 0.761 0.614 0.765
C 0.761 0.886 0.265
Br 0.028 0.120 0.130
Br 0.028 0.380 0.630
Br 0.196 0.152 0.571
Br 0.196 0.348 0.071
Br 0.303 0.606 0.664
Br 0.303 0.894 0.164
Br 0.457 0.631 0.276
Br 0.457 0.869 0.776
Br 0.543 0.131 0.224
Br 0.543 0.369 0.724
Br 0.697 0.106 0.836
Br 0.697 0.394 0.336
Br 0.804 0.652 0.929
Br 0.804 0.848 0.429
Br 0.972 0.620 0.370
Br 0.972 0.880 0.870
N 0.257 0.656 0.048
N 0.257 0.844 0.548
N 0.268 0.090 0.842
N 0.268 0.410 0.342
N 0.732 0.590 0.658
N 0.732 0.910 0.158
N 0.743 0.156 0.452
N 0.743 0.344 0.952

Structure and computed powder diffraction line list of Cs2HgPdCl6 (a crystal structure in the Materials Project, relaxed with PBE; copper Kα).
Neutral-atom scattering factors, no anomalous dispersion.

Principal peaks in the range 10 to 90 degrees two-theta, by intensity:
- 22.97 deg, I 100
- 23.32 deg, I 48
- 33.21 deg, I 44
- 40.77 deg, I 42
- 46.93 deg, I 30
- 32.20 deg, I 24
- 40.13 deg, I 21
- 47.68 deg, I 15
- 58.70 deg, I 14
- 63.27 deg, I 14
- 52.18 deg, I 13
- 64.49 deg, I 13

Structural model:
Cell lengths 7.747, 7.747, 7.747 Å; angles 121.00, 121.00, 88.27 degrees
Atoms (fractional coordinates):
Cs 0.250 0.750 0.500
Cs 0.750 0.250 0.500
Hg 0.000 0.000 0.000
Pd 0.500 0.500 0.000
Cl 0.213 0.213 0.000
Cl 0.283 0.283 0.566
Cl 0.283 0.717 0.000
Cl 0.717 0.283 0.000
Cl 0.717 0.717 0.434
Cl 0.787 0.787 0.000

Structure and computed powder diffraction line list of PrYTl2 (a crystal structure in the Materials Project, relaxed with PBE; copper Kα).
Neutral-atom scattering factors, no anomalous dispersion.

Principal peaks in the range 10 to 90 degrees two-theta, by intensity:
- 32.71 deg, I 100
- 58.38 deg, I 39
- 46.94 deg, I 18
- 78.05 deg, I 17
- 68.55 deg, I 12
- 22.97 deg, I 8
- 87.22 deg, I 4
- 52.88 deg, I 4
- 40.35 deg, I 3
- 73.36 deg, I 2
- 19.86 deg, I 1
- 82.66 deg, I 1

Structural model:
Cell lengths 5.475, 5.475, 5.475 Å; angles 60.00, 60.00, 60.00 degrees
Atoms (fractional coordinates):
Pr 0.000 0.000 0.000
Y 0.500 0.500 0.500
Tl 0.250 0.250 0.250
Tl 0.750 0.750 0.750

Structure and computed powder diffraction line list of KIn9Co2 (a crystal structure in the Materials Project, relaxed with PBE; copper Kα).
Neutral-atom scattering factors, no anomalous dispersion.

Principal peaks in the range 10 to 90 degrees two-theta, by intensity:
- 31.25 deg, I 100
- 37.41 deg, I 96
- 11.53 deg, I 68
- 40.72 deg, I 34
- 42.07 deg, I 28
- 59.99 deg, I 21
- 30.82 deg, I 19
- 64.46 deg, I 19
- 41.06 deg, I 18
- 42.47 deg, I 14
- 73.80 deg, I 12
- 51.93 deg, I 11

Structural model:
Cell lengths 8.862, 8.862, 4.296 Å; angles 90.00, 90.00, 120.00 degrees
Atoms (fractional coordinates):
K 0.000 0.000 0.000
In 0.000 0.500 0.000
In 0.209 0.418 0.500
In 0.209 0.791 0.500
In 0.418 0.209 0.500
In 0.500 0.000 0.000
In 0.500 0.500 0.000
In 0.582 0.791 0.500
In 0.791 0.209 0.500
In 0.791 0.582 0.500
Co 0.333 0.667 0.000
Co 0.667 0.333 0.000